Record 1
# Pm14ThCd
Calculated powder diffraction line list, CuKα. Input: a DFT-relaxed cell (PBE, Alexandria).
Intensities are scaled so that the largest is 100.

Largest 10 diffraction maxima, by angle, 2θ = 15–90°:
2θ = 30.64°, d = 2.918 Å, rel. 100; 2θ = 31.00°, d = 2.885 Å, rel. 18; 2θ = 32.34°, d = 2.768 Å, rel. 27; 2θ = 32.61°, d = 2.746 Å, rel. 17; 2θ = 41.04°, d = 2.199 Å, rel. 9; 2θ = 46.59°, d = 1.949 Å, rel. 12; 2θ = 53.19°, d = 1.722 Å, rel. 9; 2θ = 56.63°, d = 1.625 Å, rel. 17; 2θ = 60.76°, d = 1.524 Å, rel. 8; 2θ = 62.60°, d = 1.484 Å, rel. 8

abc: 11.0719 8.7968 10.9832
angles: 90.00 90.00 90.00
Space group Amm2 (No. 38)
Asymmetric unit:
Pm: 0.0000 0.0000 0.0000 x2
Pm: 0.0000 0.0000 0.4224 x2
Pm: 0.0000 0.2092 0.7139 x4
Pm: 0.2495 0.0000 0.7854 x4
Pm: 0.2598 0.0000 0.2135 x4
Pm: 0.2621 0.2108 0.4963 x8
Pm: 0.5000 0.2197 0.7233 x4
Th: 0.5000 0.0000 0.9861 x2
Cd: 0.5000 0.0000 0.4460 x2


Record 2
# PmTiCd
Calculated powder diffraction line list, CuKα. Input: a DFT-relaxed cell (PBE, Alexandria).
Intensities are scaled so that the largest is 100.

Largest 10 diffraction maxima, by angle, 2θ = 15–90°:
2θ = 16.91°, d = 5.243 Å, rel. 13; 2θ = 31.77°, d = 2.817 Å, rel. 33; 2θ = 33.80°, d = 2.652 Å, rel. 10; 2θ = 34.20°, d = 2.622 Å, rel. 19; 2θ = 36.20°, d = 2.481 Å, rel. 100; 2θ = 47.37°, d = 1.919 Å, rel. 14; 2θ = 56.60°, d = 1.626 Å, rel. 19; 2θ = 62.54°, d = 1.485 Å, rel. 9; 2θ = 67.82°, d = 1.382 Å, rel. 15; 2θ = 69.06°, d = 1.360 Å, rel. 14

abc: 15.7302 3.2540 5.6301
angles: 90.00 90.00 90.00
Space group Amm2 (No. 38)
Asymmetric unit:
Pm: 0.1871 0.0000 0.0000 x4
Ti: 0.3478 0.0000 0.6665 x4
Cd: 0.0000 0.0000 0.6650 x2
Cd: 0.5000 0.0000 0.0002 x2


Record 3
# Pm2TlCd6
Calculated powder diffraction line list, CuKα. Input: a DFT-relaxed cell (PBE, Alexandria).
Intensities are scaled so that the largest is 100.

Largest 10 diffraction maxima, by angle, 2θ = 15–90°:
2θ = 27.39°, d = 3.256 Å, rel. 13; 2θ = 31.00°, d = 2.884 Å, rel. 48; 2θ = 32.91°, d = 2.722 Å, rel. 51; 2θ = 34.94°, d = 2.568 Å, rel. 100; 2θ = 43.33°, d = 2.088 Å, rel. 24; 2θ = 50.73°, d = 1.800 Å, rel. 16; 2θ = 52.02°, d = 1.758 Å, rel. 12; 2θ = 56.52°, d = 1.628 Å, rel. 25; 2θ = 62.52°, d = 1.486 Å, rel. 23; 2θ = 80.39°, d = 1.195 Å, rel. 13

abc: 6.5129 6.5129 6.2151
angles: 90.00 90.00 120.00
Space group P-3m1 (No. 164)
Asymmetric unit:
Pm: 0.3333 0.6667 0.1642 x2
Tl: 0.0000 0.0000 0.0000 x1
Cd: 0.1830 0.3661 0.6664 x6